Starting from a structure optimized by DFT (GGA-PBE), the XRD peak list of Ba6Li15Cd8 was simulated for Cu Kα, 1.54184 Å.
Lines closer than 0.1° are merged.

Atomic structure:
Lattice parameters (Å, degrees): 14.8652 14.8652 14.8652 90.00 90.00 90.00
Space group Fm-3m (No. 225)
Asymmetric unit:
Ba1 0.0000 0.0000 0.2210 (multiplicity 24)
Li1 0.0000 0.0000 0.5000 (multiplicity 4)
Li2 0.0000 0.2500 0.2500 (multiplicity 24)
Li3 0.1795 0.1795 0.1795 (multiplicity 32)
Cd1 0.1315 0.1315 0.3685 (multiplicity 32)

Main lines, low angle first (2θ from 10° to 80°):
d [Å]  Position (°2θ)  I/Imax  hkl
4.482  19.8  24  3 1 1
4.291  20.7  47  2 2 2
3.410  26.1  58  3 3 1
2.861  31.3  29  5 1 1
2.628  34.1  100  4 4 0
2.241  40.2  16  6 2 2
2.082  43.5  14  7 1 1
1.858  49.0  14  8 0 0
1.816  50.2  28  7 3 3
1.517  61.1  24  8 4 4
1.494  62.1  13  7 7 1
1.299  72.8  14  11 3 1

Starting from a structure optimized by DFT (GGA-PBE), the XRD peak list of LiCd2Br5 was simulated for Cu Kα, 1.54184 Å.
Lines closer than 0.1° are merged.

Atomic structure:
Lattice parameters (Å, degrees): 5.5809 13.5004 13.3853 90.00 90.00 90.00
Space group Cmcm (No. 63)
Asymmetric unit:
Li1 0.0000 0.2132 0.2500 (multiplicity 4)
Cd1 0.0000 0.1378 0.5628 (multiplicity 8)
Br1 0.0000 0.0563 0.1228 (multiplicity 8)
Br2 0.0000 0.2358 0.7500 (multiplicity 4)
Br3 0.0000 0.3208 0.0650 (multiplicity 8)

Main lines, low angle first (2θ from 10° to 80°):
d [Å]  Position (°2θ)  I/Imax  hkl
6.693  13.2  56  0 0 2
5.158  17.2  100  1 1 0
3.722  23.9  45  0 2 3
3.273  27.2  30  0 4 1
3.014  29.6  30  0 4 2
2.790  32.1  77  2 0 0
2.692  33.3  33  0 4 3
2.489  36.1  44  0 2 5
2.232  40.4  37  0 0 6
2.134  42.4  39  1 5 3
2.125  42.6  26  2 4 1
1.857  49.0  35  2 2 5

Repeat the second record exactly.
Starting from a structure optimized by DFT (GGA-PBE), the XRD peak list of LiCd2Br5 was simulated for Cu Kα, 1.54184 Å.
Lines closer than 0.1° are merged.

Atomic structure:
Lattice parameters (Å, degrees): 5.5809 13.5004 13.3853 90.00 90.00 90.00
Space group Cmcm (No. 63)
Asymmetric unit:
Li1 0.0000 0.2132 0.2500 (multiplicity 4)
Cd1 0.0000 0.1378 0.5628 (multiplicity 8)
Br1 0.0000 0.0563 0.1228 (multiplicity 8)
Br2 0.0000 0.2358 0.7500 (multiplicity 4)
Br3 0.0000 0.3208 0.0650 (multiplicity 8)

Main lines, low angle first (2θ from 10° to 80°):
d [Å]  Position (°2θ)  I/Imax  hkl
6.693  13.2  56  0 0 2
5.158  17.2  100  1 1 0
3.722  23.9  45  0 2 3
3.273  27.2  30  0 4 1
3.014  29.6  30  0 4 2
2.790  32.1  77  2 0 0
2.692  33.3  33  0 4 3
2.489  36.1  44  0 2 5
2.232  40.4  37  0 0 6
2.134  42.4  39  1 5 3
2.125  42.6  26  2 4 1
1.857  49.0  35  2 2 5